# 1
The following is a calculated PXRD pattern of AsN2F5. It was derived from a crystal structure in Alexandria, relaxed with PBE, using λ = 1.5418 Å (Cu Kα).
No peak broadening, texture or thermal motion is included.

Crystal structure
Cell lengths 4.886, 6.030, 6.269 Å; angles 75.48, 67.16, 70.71 degrees
Space group P1 (No. 1)
Unique sites:
As: 0.000 0.000 0.000
N: 0.577 0.528 0.441
N: 0.660 0.456 0.593
F: 0.057 0.273 0.977
F: 0.181 0.006 0.699
F: 0.244 0.724 0.041
F: 0.660 0.998 0.981
F: 0.838 0.993 0.302

Largest 6 diffraction maxima, by angle, 2θ = 10–90°:
| 2theta | Rel. int. | h k l |
| --- | --- | --- |
| 15.49 | 87 | 0 0 1 |
| 15.73 | 93 | 0 1 0 |
| 20.48 | 100 | 0 1 1 |
| 21.14 | 70 | 1 0 1 |
| 22.33 | 54 | 1 1 0 |
| 31.29 | 38 | 0 0 2 |

---

# 2
The following is a calculated PXRD pattern of RbAsN2F. It was derived from a crystal structure in Alexandria, relaxed with PBE, using λ = 1.5418 Å (Cu Kα).
No peak broadening, texture or thermal motion is included.

Crystal structure
Cell lengths 3.788, 3.788, 5.214 Å; angles 90.00, 90.00, 90.00 degrees
Space group P4/mmm (No. 123)
Unique sites:
Rb: 0.000 0.000 0.000
As: 0.500 0.500 0.500
N: 0.000 0.500 0.500
F: 0.500 0.500 0.000

Largest 6 diffraction maxima, by angle, 2θ = 10–90°:
| 2theta | Rel. int. | h k l |
| --- | --- | --- |
| 29.14 | 100 | 1 0 1 |
| 33.45 | 41 | 1 1 0 |
| 34.40 | 35 | 0 0 2 |
| 48.04 | 25 | 2 0 0 |
| 48.74 | 29 | 1 1 2 |
| 57.17 | 30 | 2 1 1 |

---

# 3
The following is a calculated PXRD pattern of AsS3N2F6. It was derived from a crystal structure in Alexandria, relaxed with PBE, using λ = 1.5418 Å (Cu Kα).
No peak broadening, texture or thermal motion is included.

Crystal structure
Cell lengths 8.667, 8.457, 11.443 Å; angles 90.00, 95.82, 90.00 degrees
Space group P2_1/c (No. 14)
Unique sites:
As: 0.232 0.102 0.369
S: 0.155 0.566 0.355
S: 0.355 0.632 0.554
S: 0.466 0.650 0.387
N: 0.187 0.587 0.493
N: 0.313 0.609 0.304
F: 0.063 0.198 0.405
F: 0.125 0.568 0.819
F: 0.203 0.186 0.226
F: 0.267 0.023 0.511
F: 0.344 0.223 0.917
F: 0.406 0.014 0.329

Largest 6 diffraction maxima, by angle, 2θ = 10–90°:
| 2theta | Rel. int. | h k l |
| --- | --- | --- |
| 17.11 | 35 | 1 1 1 |
| 17.78 | 100 | 1 0 -2 |
| 19.54 | 40 | 1 0 2 |
| 22.43 | 48 | 0 2 1 |
| 24.38 | 40 | 1 2 -1 |
| 25.06 | 44 | 1 2 1 |

---

# 4
The following is a calculated PXRD pattern of NaAsF4. It was derived from a crystal structure in Alexandria, relaxed with PBE, using λ = 1.5418 Å (Cu Kα).
No peak broadening, texture or thermal motion is included.

Crystal structure
Cell lengths 5.926, 5.756, 5.710 Å; angles 90.00, 90.00, 90.00 degrees
Space group Pmn2_1 (No. 31)
Unique sites:
Na: 0.000 0.035 0.000
As: 0.000 0.599 0.428
F: 0.000 0.396 0.155
F: 0.000 0.849 0.653
F: 0.214 0.766 0.272

Largest 6 diffraction maxima, by angle, 2θ = 10–90°:
| 2theta | Rel. int. | h k l |
| --- | --- | --- |
| 21.57 | 87 | 1 0 1 |
| 21.93 | 74 | 0 1 1 |
| 26.64 | 100 | 1 1 1 |
| 30.16 | 31 | 2 0 0 |
| 37.60 | 28 | 2 1 1 |
| 47.40 | 40 | 1 2 2 |

---

# 5
The following is a calculated PXRD pattern of Na3AsF6. It was derived from a crystal structure in Alexandria, relaxed with PBE, using λ = 1.5418 Å (Cu Kα).
No peak broadening, texture or thermal motion is included.

Crystal structure
Cell lengths 8.492, 8.492, 8.492 Å; angles 90.00, 90.00, 90.00 degrees
Space group Fm-3m (No. 225)
Unique sites:
Na: 0.000 0.000 0.000
Na: 0.250 0.250 0.250
As: 0.000 0.000 0.500
F: 0.000 0.000 0.259

Largest 6 diffraction maxima, by angle, 2θ = 10–90°:
| 2theta | Rel. int. | h k l |
| --- | --- | --- |
| 18.09 | 64 | 1 1 1 |
| 20.92 | 85 | 2 0 0 |
| 29.76 | 97 | 2 2 0 |
| 42.58 | 100 | 4 0 0 |
| 52.81 | 39 | 4 2 2 |
| 61.80 | 56 | 4 4 0 |

---

# 6
The following is a calculated PXRD pattern of Na2AsOF5. It was derived from a crystal structure in Alexandria, relaxed with PBE, using λ = 1.5418 Å (Cu Kα).
No peak broadening, texture or thermal motion is included.

Crystal structure
Cell lengths 5.316, 5.316, 8.646 Å; angles 90.00, 90.00, 90.00 degrees
Space group I4mm (No. 107)
Unique sites:
Na: 0.000 0.500 0.000
As: 0.000 0.000 0.269
O: 0.000 0.000 0.073
F: 0.000 0.000 0.488
F: 0.240 0.240 0.298

Largest 6 diffraction maxima, by angle, 2θ = 10–90°:
| 2theta | Rel. int. | h k l |
| --- | --- | --- |
| 19.60 | 100 | 1 0 1 |
| 20.54 | 18 | 0 0 2 |
| 23.67 | 16 | 1 1 0 |
| 31.54 | 31 | 1 1 2 |
| 39.31 | 25 | 2 1 1 |
| 48.44 | 27 | 2 2 0 |